Calculated powder diffractogram of Na3InSn3S8 for λ = 1.5418 Å (Cu Kα), from a DFT-relaxed cell (GGA-PBE, Alexandria).
No peak broadening, texture or thermal motion is included.

Cell: 13.306 7.679 8.189 Å, 90.00 122.84 90.00°
Space group C2/m (No. 12)
Inequivalent atoms, fractional coordinates:
1 Na 0.000 0.000 0.000 x2
2 Na 0.250 0.250 0.000 x4
3 In 0.000 0.000 0.500 x2
4 Sn 0.000 0.500 0.500 x2
5 Sn 0.250 0.250 0.500 x4
6 S 0.010 0.246 0.284 x8
7 S 0.237 0.000 0.716 x4
8 S 0.242 0.500 0.725 x4

Principal peaks in the range 2θ from 10° to 80°, in order of rising 2θ:
12.87 deg, I 92.7, hkl 0 0 1; 27.16 deg, I 34.6, hkl 4 0 -1; 28.19 deg, I 16.8, hkl 2 2 0; 32.02 deg, I 100.0, hkl 4 0 0; 40.90 deg, I 21.2, hkl 2 2 -3; 44.44 deg, I 36.5, hkl 2 2 2; 47.34 deg, I 32.9, hkl 0 4 0; 49.27 deg, I 19.3, hkl 6 2 -3; 58.30 deg, I 17.0, hkl 4 4 0; 78.28 deg, I 14.5, hkl 10 2 -2

Calculated powder diffractogram of La2Cd2BPt4 for λ = 1.5418 Å (Cu Kα), from a DFT-relaxed cell (GGA-PBE, Alexandria).
No peak broadening, texture or thermal motion is included.

Cell: 6.771 6.771 7.933 Å, 90.00 90.00 90.00°
Space group I4/mmm (No. 139)
Inequivalent atoms, fractional coordinates:
1 La 0.000 0.500 0.250 x4
2 Cd 0.000 0.000 0.177 x4
3 B 0.000 0.000 0.500 x2
4 Pt 0.222 0.222 0.500 x8

Principal peaks in the range 2θ from 10° to 80°, in order of rising 2θ:
31.63 deg, I 9.7, hkl 2 1 1; 34.84 deg, I 100.0, hkl 2 0 2; 36.48 deg, I 9.3, hkl 1 0 3; 37.57 deg, I 45.4, hkl 2 2 0; 41.60 deg, I 10.9, hkl 3 0 1; 45.75 deg, I 9.1, hkl 0 0 4; 54.19 deg, I 13.5, hkl 4 0 0; 60.47 deg, I 11.1, hkl 3 2 3; 60.63 deg, I 13.1, hkl 2 2 4; 66.05 deg, I 22.7, hkl 4 2 2

Calculated powder diffractogram of Np2TiS5 for λ = 1.5418 Å (Cu Kα), from a DFT-relaxed cell (GGA-PBE, Alexandria).
No peak broadening, texture or thermal motion is included.

Cell: 10.845 7.886 7.030 Å, 90.00 90.00 90.00°
Space group Pnma (No. 62)
Inequivalent atoms, fractional coordinates:
1 Np 0.171 0.001 0.069 x8
2 Ti 0.010 0.750 0.579 x4
3 S 0.006 0.750 0.945 x4
4 S 0.069 0.035 0.683 x8
5 S 0.195 0.750 0.365 x4
6 S 0.209 0.250 0.349 x4

Principal peaks in the range 2θ from 10° to 80°, in order of rising 2θ:
15.02 deg, I 44.9, hkl 1 0 1; 22.55 deg, I 55.4, hkl 0 2 0; 26.66 deg, I 39.2, hkl 1 0 2; 27.20 deg, I 41.3, hkl 1 2 1; 27.75 deg, I 79.0, hkl 3 0 1; 27.98 deg, I 27.1, hkl 2 2 0; 35.19 deg, I 80.4, hkl 1 2 2; 36.05 deg, I 100.0, hkl 3 2 1; 38.10 deg, I 27.7, hkl 2 2 2; 48.20 deg, I 38.1, hkl 2 2 3

Calculated powder diffractogram of NaSn3Se6 for λ = 1.5418 Å (Cu Kα), from a DFT-relaxed cell (GGA-PBE, Alexandria).
No peak broadening, texture or thermal motion is included.

Cell: 11.632 3.906 13.687 Å, 90.00 111.56 90.00°
Space group P2_1/m (No. 11)
Inequivalent atoms, fractional coordinates:
1 Na 0.130 0.250 0.421 x2
2 Sn 0.084 0.750 0.924 x2
3 Sn 0.226 0.250 0.745 x2
4 Sn 0.484 0.250 0.370 x2
5 Se 0.000 0.250 0.770 x2
6 Se 0.138 0.750 0.599 x2
7 Se 0.154 0.250 0.074 x2
8 Se 0.307 0.750 0.900 x2
9 Se 0.342 0.750 0.435 x2
10 Se 0.468 0.250 0.753 x2

Principal peaks in the range 2θ from 10° to 80°, in order of rising 2θ:
12.53 deg, I 100.0, hkl 1 0 1; 25.89 deg, I 15.2, hkl 3 0 -3; 26.45 deg, I 28.3, hkl 1 1 -2; 30.81 deg, I 35.7, hkl 4 0 -2; 31.12 deg, I 83.8, hkl 0 1 3; 40.56 deg, I 24.4, hkl 4 1 0; 42.62 deg, I 16.4, hkl 0 0 6; 45.33 deg, I 20.2, hkl 4 1 -5; 46.50 deg, I 25.7, hkl 0 2 0; 51.01 deg, I 15.2, hkl 5 1 1